Starting from a GGA-PBE-relaxed structure, the PXRD pattern of ZnGeTeO was simulated for copper Kα.

Cell and atoms:
Lattice parameters (Å, degrees): 6.012 9.054 5.864 90.00 90.00 90.00
Fractional positions:
Zn: 0.106 0.066 0.000
Zn: 0.394 0.066 0.500
Zn: 0.606 0.934 0.000
Zn: 0.894 0.934 0.500
Ge: 0.034 0.311 0.627
Ge: 0.466 0.311 0.127
Ge: 0.534 0.689 0.627
Ge: 0.966 0.689 0.127
Te: 0.019 0.667 0.648
Te: 0.481 0.667 0.148
Te: 0.519 0.333 0.648
Te: 0.981 0.333 0.148
O: 0.089 0.080 0.653
O: 0.411 0.080 0.153
O: 0.589 0.920 0.653
O: 0.911 0.920 0.153

Main lines, by angle (2θ from 10° to 90°):
29.60 deg, d 3.018, I 91; 29.72 deg, d 3.006, I 87; 30.49 deg, d 2.932, I 81; 32.09 deg, d 2.789, I 36; 36.51 deg, d 2.461, I 34; 42.44 deg, d 2.130, I 51; 43.05 deg, d 2.101, I 100; 53.15 deg, d 1.723, I 48

Starting from a GGA-PBE-relaxed structure, the PXRD pattern of ZnGeO3 was simulated for copper Kα.

Cell and atoms:
Lattice parameters (Å, degrees): 5.264 5.264 5.264 57.46 57.46 57.46
Fractional positions:
Zn: 0.000 0.000 0.000
Zn: 0.500 0.500 0.500
Ge: 0.224 0.224 0.224
Ge: 0.724 0.724 0.724
O: 0.088 0.850 0.450
O: 0.350 0.588 0.950
O: 0.450 0.088 0.850
O: 0.588 0.950 0.350
O: 0.850 0.450 0.088
O: 0.950 0.350 0.588

Main lines, by angle (2θ from 10° to 90°):
24.42 deg, d 3.645, I 13; 34.12 deg, d 2.628, I 100; 35.48 deg, d 2.530, I 80; 50.04 deg, d 1.823, I 46; 55.51 deg, d 1.655, I 21; 60.19 deg, d 1.537, I 14; 62.84 deg, d 1.479, I 37; 63.71 deg, d 1.461, I 28